Structure and computed powder X-ray diffraction pattern of Pr2AuC2N6 (a PBE-relaxed structure; Cu Kα, 1.54184 Å).
Neutral-atom scattering factors, no anomalous dispersion.

Crystal structure
```
data_Pr2AuC2N6
_chemical_formula_sum 'Pr2 Au1 C2 N6'
_cell_length_a 5.1770
_cell_length_b 6.4762
_cell_length_c 6.5452
_cell_angle_alpha 109.89
_cell_angle_beta 109.64
_cell_angle_gamma 93.80
_symmetry_space_group_name_H-M 'P -1'
_symmetry_Int_Tables_number 2
loop_
_symmetry_equiv_pos_as_xyz
'x,y,z'
'-x,-y,-z'
loop_
_atom_site_label
_atom_site_type_symbol
_atom_site_fract_x
_atom_site_fract_y
_atom_site_fract_z
_atom_site_occupancy
Pr1 Pr 0.1395 0.2639 0.2884 1
Au1 Au 0.5000 0.0000 0.0000 1
C1 C 0.1711 0.7440 0.2707 1
N1 N 0.0643 0.6664 0.4008 1
N2 N 0.1044 0.8473 0.1290 1
N3 N 0.3816 0.6585 0.3829 1
```

Top 6 peaks for 10° ≤ 2θ ≤ 90°, sorted by position:
| Position (°2θ) | Rel. int. | hkl |
| --- | --- | --- |
| 16.89 | 100 | 0 1 -1 |
| 25.70 | 30 | -1 1 1 |
| 26.19 | 24 | 1 1 0 |
| 28.65 | 37 | 1 0 1 |
| 29.80 | 31 | 1 0 -2 |
| 34.76 | 22 | 2 0 -1 |

=====

Structure and computed powder X-ray diffraction pattern of RbAuC2S2N2 (a PBE-relaxed structure; Cu Kα, 1.54184 Å).
Neutral-atom scattering factors, no anomalous dispersion.

Crystal structure
```
data_RbAuC2S2N2
_chemical_formula_sum 'Rb8 Au8 C16 S16 N16'
_cell_length_a 14.9848
_cell_length_b 6.1685
_cell_length_c 18.8776
_cell_angle_alpha 90.00
_cell_angle_beta 112.60
_cell_angle_gamma 90.00
_symmetry_space_group_name_H-M 'C 1 2/c 1'
_symmetry_Int_Tables_number 15
loop_
_symmetry_equiv_pos_as_xyz
'x,y,z'
'-x,-y,-z'
'-x,y,-z+1/2'
'x,-y,z+1/2'
'x+1/2,y+1/2,z'
'-x+1/2,-y+1/2,-z'
'-x+1/2,y+1/2,-z+1/2'
'x+1/2,-y+1/2,z+1/2'
loop_
_atom_site_label
_atom_site_type_symbol
_atom_site_fract_x
_atom_site_fract_y
_atom_site_fract_z
_atom_site_occupancy
Rb1 Rb 0.1603 0.0207 0.0455 1
Au1 Au 0.0000 0.1562 0.2500 1
Au2 Au 0.0000 0.3485 0.7500 1
C1 C 0.0013 0.4356 0.0945 1
C2 C 0.2117 0.0509 0.3634 1
S1 S 0.0107 0.3149 0.6296 1
S2 S 0.1666 0.1730 0.2788 1
N1 N 0.0044 0.2625 0.4337 1
N2 N 0.2485 0.0291 0.9248 1
```

Top 6 peaks for 10° ≤ 2θ ≤ 90°, sorted by position:
| Position (°2θ) | Rel. int. | hkl |
| --- | --- | --- |
| 10.15 | 92 | 0 0 2 |
| 12.80 | 100 | 2 0 0 |
| 12.93 | 94 | 2 0 -2 |
| 19.21 | 72 | 2 0 2 |
| 19.46 | 66 | 2 0 -4 |
| 39.03 | 52 | 6 0 0 |

=====

Structure and computed powder X-ray diffraction pattern of Nb7Au2C2 (a PBE-relaxed structure; Cu Kα, 1.54184 Å).
Neutral-atom scattering factors, no anomalous dispersion.

Crystal structure
```
data_Nb7Au2C2
_chemical_formula_sum 'Nb14 Au4 C4'
_cell_length_a 6.4969
_cell_length_b 9.6413
_cell_length_c 6.9985
_cell_angle_alpha 90.00
_cell_angle_beta 101.48
_cell_angle_gamma 90.00
_symmetry_space_group_name_H-M 'C 1 2/m 1'
_symmetry_Int_Tables_number 12
loop_
_symmetry_equiv_pos_as_xyz
'x,y,z'
'-x,-y,-z'
'-x,y,-z'
'x,-y,z'
'x+1/2,y+1/2,z'
'-x+1/2,-y+1/2,-z'
'-x+1/2,y+1/2,-z'
'x+1/2,-y+1/2,z'
loop_
_atom_site_label
_atom_site_type_symbol
_atom_site_fract_x
_atom_site_fract_y
_atom_site_fract_z
_atom_site_occupancy
Nb1 Nb 0.0000 0.0000 0.0000 1
Nb2 Nb 0.0940 0.5000 0.8116 1
Nb3 Nb 0.1985 0.2861 0.1696 1
Au1 Au 0.0000 0.3001 0.5000 1
C1 C 0.2250 0.5000 0.1334 1
```

Top 6 peaks for 10° ≤ 2θ ≤ 90°, sorted by position:
| Position (°2θ) | Rel. int. | hkl |
| --- | --- | --- |
| 16.69 | 46 | 1 1 0 |
| 18.40 | 47 | 0 2 0 |
| 22.54 | 54 | 0 2 1 |
| 38.31 | 100 | 2 2 1 |
| 39.09 | 63 | 1 3 -2 |
| 39.30 | 58 | 2 2 -2 |

=====

Structure and computed powder X-ray diffraction pattern of Nb8Au2C3 (a PBE-relaxed structure; Cu Kα, 1.54184 Å).
Neutral-atom scattering factors, no anomalous dispersion.

Crystal structure
```
data_Nb8Au2C3
_chemical_formula_sum 'Nb16 Au4 C6'
_cell_length_a 13.6027
_cell_length_b 6.3017
_cell_length_c 5.4542
_cell_angle_alpha 90.00
_cell_angle_beta 104.04
_cell_angle_gamma 90.00
_symmetry_space_group_name_H-M 'C 1 2/m 1'
_symmetry_Int_Tables_number 12
loop_
_symmetry_equiv_pos_as_xyz
'x,y,z'
'-x,-y,-z'
'-x,y,-z'
'x,-y,z'
'x+1/2,y+1/2,z'
'-x+1/2,-y+1/2,-z'
'-x+1/2,y+1/2,-z'
'x+1/2,-y+1/2,z'
loop_
_atom_site_label
_atom_site_type_symbol
_atom_site_fract_x
_atom_site_fract_y
_atom_site_fract_z
_atom_site_occupancy
Nb1 Nb 0.0898 0.0000 0.3855 1
Nb2 Nb 0.0896 0.2529 0.8930 1
Nb3 Nb 0.0949 0.5000 0.4170 1
Au1 Au 0.2494 0.5000 0.1716 1
C1 C 0.0000 0.0000 0.0000 1
C2 C 0.0000 0.2450 0.5000 1
```

Top 6 peaks for 10° ≤ 2θ ≤ 90°, sorted by position:
| Position (°2θ) | Rel. int. | hkl |
| --- | --- | --- |
| 24.14 | 51 | 1 1 1 |
| 37.44 | 90 | 2 2 1 |
| 39.66 | 55 | 2 0 2 |
| 40.39 | 100 | 4 2 -1 |
| 41.04 | 61 | 6 0 0 |
| 58.62 | 76 | 0 4 0 |

=====

Structure and computed powder X-ray diffraction pattern of Sc6Au2CO (a PBE-relaxed structure; Cu Kα, 1.54184 Å).
Neutral-atom scattering factors, no anomalous dispersion.

Crystal structure
```
data_Sc6Au2CO
_chemical_formula_sum 'Sc12 Au4 C2 O2'
_cell_length_a 6.2848
_cell_length_b 6.2848
_cell_length_c 8.8579
_cell_angle_alpha 90.00
_cell_angle_beta 90.00
_cell_angle_gamma 90.00
_symmetry_space_group_name_H-M 'I 4/m m m'
_symmetry_Int_Tables_number 139
_symmetry_space_group_name_Hall '-I 4 2'
loop_
_atom_site_label
_atom_site_type_symbol
_atom_site_fract_x
_atom_site_fract_y
_atom_site_fract_z
_atom_site_occupancy
Sc1 Sc 0.0000 0.0000 0.2480 1
Sc2 Sc 0.2477 0.2477 0.0000 1
Au1 Au 0.0000 0.5000 0.2500 1
C1 C 0.0000 0.0000 0.0000 1
O1 O 0.0000 0.0000 0.5000 1
```

Top 6 peaks for 10° ≤ 2θ ≤ 90°, sorted by position:
| Position (°2θ) | Rel. int. | hkl |
| --- | --- | --- |
| 20.00 | 53 | 1 1 0 |
| 28.44 | 70 | 2 0 0 |
| 35.01 | 100 | 2 0 2 |
| 40.60 | 39 | 2 2 0 |
| 50.35 | 30 | 3 1 2 |
| 70.27 | 25 | 4 2 2 |

=====

Structure and computed powder X-ray diffraction pattern of SrAuC2O6 (a PBE-relaxed structure; Cu Kα, 1.54184 Å).
Neutral-atom scattering factors, no anomalous dispersion.

Crystal structure
```
data_SrAuC2O6
_chemical_formula_sum 'Sr3 Au3 C6 O18'
_cell_length_a 5.2129
_cell_length_b 5.2129
_cell_length_c 17.3984
_cell_angle_alpha 90.00
_cell_angle_beta 90.00
_cell_angle_gamma 120.00
_symmetry_space_group_name_H-M 'R -3'
_symmetry_Int_Tables_number 148
_symmetry_space_group_name_Hall '-R 3'
loop_
_atom_site_label
_atom_site_type_symbol
_atom_site_fract_x
_atom_site_fract_y
_atom_site_fract_z
_atom_site_occupancy
Sr1 Sr 0.0000 0.0000 0.0000 1
Au1 Au 0.0000 0.0000 0.5000 1
C1 C 0.0000 0.0000 0.2437 1
O1 O 0.0037 0.2507 0.2450 1
```

Top 6 peaks for 10° ≤ 2θ ≤ 90°, sorted by position:
| Position (°2θ) | Rel. int. | hkl |
| --- | --- | --- |
| 22.18 | 77 | 0 1 2 |
| 28.50 | 100 | 1 0 4 |
| 34.41 | 39 | 1 1 0 |
| 41.32 | 28 | 2 0 2 |
| 46.34 | 25 | 0 1 8 |
| 46.87 | 39 | 2 -1 6 |

=====

Structure and computed powder X-ray diffraction pattern of Th8Os3Au3C (a PBE-relaxed structure; Cu Kα, 1.54184 Å).
Neutral-atom scattering factors, no anomalous dispersion.

Crystal structure
```
data_Th8Os3Au3C
_chemical_formula_sum 'Th16 Os6 Au6 C2'
_cell_length_a 14.1362
_cell_length_b 8.1761
_cell_length_c 8.6604
_cell_angle_alpha 90.00
_cell_angle_beta 122.95
_cell_angle_gamma 90.00
_symmetry_space_group_name_H-M 'C 1 2/m 1'
_symmetry_Int_Tables_number 12
loop_
_symmetry_equiv_pos_as_xyz
'x,y,z'
'-x,-y,-z'
'-x,y,-z'
'x,-y,z'
'x+1/2,y+1/2,z'
'-x+1/2,-y+1/2,-z'
'-x+1/2,y+1/2,-z'
'x+1/2,-y+1/2,z'
loop_
_atom_site_label
_atom_site_type_symbol
_atom_site_fract_x
_atom_site_fract_y
_atom_site_fract_z
_atom_site_occupancy
Th1 Th 0.0103 0.2351 0.2953 1
Th2 Th 0.2251 0.0000 0.7048 1
Th3 Th 0.2396 0.5000 0.7190 1
Os1 Os 0.0000 0.5000 0.5000 1
Os2 Os 0.2500 0.2500 0.5000 1
Au1 Au 0.0000 0.0000 0.0000 1
Au2 Au 0.2500 0.2500 0.0000 1
C1 C 0.0000 0.0000 0.5000 1
```

Top 6 peaks for 10° ≤ 2θ ≤ 90°, sorted by position:
| Position (°2θ) | Rel. int. | hkl |
| --- | --- | --- |
| 30.12 | 100 | 4 0 0 |
| 41.85 | 33 | 4 0 -4 |
| 44.36 | 37 | 0 4 0 |
| 54.55 | 19 | 8 0 -4 |
| 62.62 | 10 | 4 4 -4 |
| 72.88 | 10 | 8 4 -4 |

=====

Structure and computed powder X-ray diffraction pattern of Pa2AuC2S2 (a PBE-relaxed structure; Cu Kα, 1.54184 Å).
Neutral-atom scattering factors, no anomalous dispersion.

Crystal structure
```
data_Pa2AuC2S2
_chemical_formula_sum 'Pa2 Au1 C2 S2'
_cell_length_a 3.9434
_cell_length_b 3.9434
_cell_length_c 10.9207
_cell_angle_alpha 90.00
_cell_angle_beta 90.00
_cell_angle_gamma 120.00
_symmetry_space_group_name_H-M 'P -3 m 1'
_symmetry_Int_Tables_number 164
_symmetry_space_group_name_Hall '-P 3 2"'
loop_
_atom_site_label
_atom_site_type_symbol
_atom_site_fract_x
_atom_site_fract_y
_atom_site_fract_z
_atom_site_occupancy
Pa1 Pa 0.3333 0.6667 0.1372 1
Au1 Au 0.0000 0.0000 0.5000 1
C1 C 0.3333 0.6667 0.9238 1
S1 S 0.0000 0.0000 0.2896 1
```

Top 6 peaks for 10° ≤ 2θ ≤ 90°, sorted by position:
| Position (°2θ) | Rel. int. | hkl |
| --- | --- | --- |
| 24.45 | 28 | 0 0 3 |
| 27.36 | 100 | 1 0 1 |
| 30.88 | 55 | 0 1 2 |
| 42.39 | 32 | 1 0 4 |
| 46.03 | 30 | 1 1 0 |
| 52.80 | 22 | 1 1 3 |

=====

Structure and computed powder X-ray diffraction pattern of Pa2Te2AuC2 (a PBE-relaxed structure; Cu Kα, 1.54184 Å).
Neutral-atom scattering factors, no anomalous dispersion.

Crystal structure
```
data_Pa2Te2AuC2
_chemical_formula_sum 'Pa2 Te2 Au1 C2'
_cell_length_a 3.9634
_cell_length_b 3.9634
_cell_length_c 12.5765
_cell_angle_alpha 90.00
_cell_angle_beta 90.00
_cell_angle_gamma 120.00
_symmetry_space_group_name_H-M 'P -3 m 1'
_symmetry_Int_Tables_number 164
_symmetry_space_group_name_Hall '-P 3 2"'
loop_
_atom_site_label
_atom_site_type_symbol
_atom_site_fract_x
_atom_site_fract_y
_atom_site_fract_z
_atom_site_occupancy
Pa1 Pa 0.3333 0.6667 0.1157 1
Te1 Te 0.0000 0.0000 0.2943 1
Au1 Au 0.0000 0.0000 0.5000 1
C1 C 0.3333 0.6667 0.9282 1
```

Top 6 peaks for 10° ≤ 2θ ≤ 90°, sorted by position:
| Position (°2θ) | Rel. int. | hkl |
| --- | --- | --- |
| 26.93 | 100 | 1 0 1 |
| 29.65 | 42 | 1 0 2 |
| 35.70 | 22 | 0 0 5 |
| 38.84 | 42 | 0 1 4 |
| 45.79 | 39 | 1 1 0 |
| 59.37 | 31 | 1 1 5 |

=====

Structure and computed powder X-ray diffraction pattern of Sc6Pb2AuC (a PBE-relaxed structure; Cu Kα, 1.54184 Å).
Neutral-atom scattering factors, no anomalous dispersion.

Crystal structure
```
data_Sc6Pb2AuC
_chemical_formula_sum 'Sc6 Pb2 Au1 C1'
_cell_length_a 4.9013
_cell_length_b 4.9013
_cell_length_c 9.7645
_cell_angle_alpha 90.00
_cell_angle_beta 90.00
_cell_angle_gamma 90.00
_symmetry_space_group_name_H-M 'P 4/m m m'
_symmetry_Int_Tables_number 123
_symmetry_space_group_name_Hall '-P 4 2'
loop_
_atom_site_label
_atom_site_type_symbol
_atom_site_fract_x
_atom_site_fract_y
_atom_site_fract_z
_atom_site_occupancy
Sc1 Sc 0.0000 0.0000 0.2233 1
Sc2 Sc 0.0000 0.5000 0.0000 1
Sc3 Sc 0.0000 0.5000 0.5000 1
Pb1 Pb 0.5000 0.5000 0.2355 1
Au1 Au 0.0000 0.0000 0.5000 1
C1 C 0.0000 0.0000 0.0000 1
```

Top 6 peaks for 10° ≤ 2θ ≤ 90°, sorted by position:
| Position (°2θ) | Rel. int. | hkl |
| --- | --- | --- |
| 20.27 | 18 | 1 0 1 |
| 25.74 | 100 | 1 1 0 |
| 31.66 | 31 | 1 1 2 |
| 36.67 | 38 | 2 0 0 |
| 45.38 | 43 | 2 1 2 |
| 52.94 | 24 | 2 0 4 |

=====

Structure and computed powder X-ray diffraction pattern of PrThAuC (a PBE-relaxed structure; Cu Kα, 1.54184 Å).
Neutral-atom scattering factors, no anomalous dispersion.

Crystal structure
```
data_PrThAuC
_chemical_formula_sum 'Pr2 Th2 Au2 C2'
_cell_length_a 6.5618
_cell_length_b 3.7745
_cell_length_c 7.8775
_cell_angle_alpha 90.00
_cell_angle_beta 106.17
_cell_angle_gamma 90.00
_symmetry_space_group_name_H-M 'C 1 m 1'
_symmetry_Int_Tables_number 8
loop_
_symmetry_equiv_pos_as_xyz
'x,y,z'
'x,-y,z'
'x+1/2,y+1/2,z'
'x+1/2,-y+1/2,z'
loop_
_atom_site_label
_atom_site_type_symbol
_atom_site_fract_x
_atom_site_fract_y
_atom_site_fract_z
_atom_site_occupancy
Pr1 Pr 0.0000 0.0000 0.0000 1
Th1 Th 0.2034 0.0000 0.6121 1
Au1 Au 0.2696 0.5000 0.3082 1
C1 C 0.0946 0.5000 0.7848 1
```

Top 6 peaks for 10° ≤ 2θ ≤ 90°, sorted by position:
| Position (°2θ) | Rel. int. | hkl |
| --- | --- | --- |
| 27.52 | 32 | 1 1 0 |
| 28.37 | 37 | 1 1 -1 |
| 31.54 | 79 | 2 0 -2 |
| 33.75 | 100 | 2 0 1 |
| 35.60 | 29 | 0 0 3 |
| 48.08 | 36 | 3 1 -1 |

=====

Structure and computed powder X-ray diffraction pattern of RhAuC (a PBE-relaxed structure; Cu Kα, 1.54184 Å).
Neutral-atom scattering factors, no anomalous dispersion.

Crystal structure
```
data_RhAuC
_chemical_formula_sum 'Rh1 Au1 C1'
_cell_length_a 3.1302
_cell_length_b 3.1315
_cell_length_c 5.7474
_cell_angle_alpha 74.65
_cell_angle_beta 74.47
_cell_angle_gamma 60.05
_symmetry_space_group_name_H-M 'P 1'
_symmetry_Int_Tables_number 1
loop_
_symmetry_equiv_pos_as_xyz
'x,y,z'
loop_
_atom_site_label
_atom_site_type_symbol
_atom_site_fract_x
_atom_site_fract_y
_atom_site_fract_z
_atom_site_occupancy
Rh1 Rh 0.0000 0.0000 0.0000 1
Au1 Au 0.8368 0.8313 0.4873 1
C1 C 0.7083 0.7068 0.8746 1
```

Top 6 peaks for 10° ≤ 2θ ≤ 90°, sorted by position:
| Position (°2θ) | Rel. int. | hkl |
| --- | --- | --- |
| 16.21 | 23 | 0 0 1 |
| 32.75 | 66 | 0 0 2 |
| 33.46 | 100 | 1 0 0 |
| 33.55 | 51 | 1 1 1 |
| 34.82 | 35 | 1 0 1 |
| 58.99 | 39 | 2 1 1 |

=====

Structure and computed powder X-ray diffraction pattern of RhAuC (a PBE-relaxed structure; Cu Kα, 1.54184 Å).
Neutral-atom scattering factors, no anomalous dispersion.

Crystal structure
```
data_RhAuC
_chemical_formula_sum 'Rh1 Au1 C1'
_cell_length_a 2.8827
_cell_length_b 3.1220
_cell_length_c 4.8051
_cell_angle_alpha 90.00
_cell_angle_beta 90.00
_cell_angle_gamma 90.00
_symmetry_space_group_name_H-M 'P m m 2'
_symmetry_Int_Tables_number 25
loop_
_symmetry_equiv_pos_as_xyz
'x,y,z'
'-x,-y,z'
'-x,y,z'
'x,-y,z'
loop_
_atom_site_label
_atom_site_type_symbol
_atom_site_fract_x
_atom_site_fract_y
_atom_site_fract_z
_atom_site_occupancy
Rh1 Rh 0.0000 0.0000 0.0000 1
Au1 Au 0.5000 0.5000 0.4308 1
C1 C 0.0000 0.5000 0.7745 1
```

Top 6 peaks for 10° ≤ 2θ ≤ 90°, sorted by position:
| Position (°2θ) | Rel. int. | hkl |
| --- | --- | --- |
| 34.25 | 100 | 0 1 1 |
| 36.34 | 91 | 1 0 1 |
| 37.43 | 34 | 0 0 2 |
| 42.69 | 55 | 1 1 0 |
| 58.06 | 41 | 1 1 2 |
| 71.48 | 25 | 1 2 1 |